This entry pairs a crystal structure of Lu2Tl3W4C3 with its theoretical powder diffraction line list. Radiation: Cu Kα (λ = 1.5418 Å). Structure: a DFT-relaxed cell (PBE, OQMD).
Peak positions follow from Bragg's law for the DFT cell and can differ from measured ones.

Most intense lines, 2θ = 10–90°, by angle:
31.1°, rel. 24.2
31.3°, rel. 45.9
36.6°, rel. 97.7
36.6°, rel. 100.0
36.9°, rel. 91.5
38.3°, rel. 50.1
50.1°, rel. 26.5
55.4°, rel. 37.0
68.1°, rel. 23.1
68.4°, rel. 24.6

Unit cell a=5.723 b=5.723 c=14.510 alpha=101.74 beta=101.74 gamma=60.40
Sites, in units of the cell vectors:
Lu 0.036 0.878 0.600
Lu 0.122 0.964 0.900
Lu 0.878 0.036 0.100
Lu 0.964 0.122 0.400
Tl 0.084 0.304 0.754
Tl 0.304 0.084 0.254
Tl 0.467 0.533 0.750
Tl 0.533 0.467 0.250
Tl 0.696 0.916 0.746
Tl 0.916 0.696 0.246
W 0.194 0.347 0.069
W 0.301 0.483 0.431
W 0.347 0.194 0.569
W 0.483 0.301 0.931
W 0.517 0.699 0.069
W 0.653 0.806 0.431
W 0.699 0.517 0.569
W 0.806 0.653 0.931
C 0.000 0.500 0.500
C 0.169 0.661 0.000
C 0.339 0.831 0.500
C 0.500 0.000 0.000
C 0.661 0.169 0.500
C 0.831 0.339 0.000

This entry pairs a crystal structure of TmAsNO with its theoretical powder diffraction line list. Radiation: Cu Kα (λ = 1.5418 Å). Structure: a DFT-relaxed cell (PBE, OQMD).
Peak positions follow from Bragg's law for the DFT cell and can differ from measured ones.

Most intense lines, 2θ = 10–90°, by angle:
11.5°, rel. 17.9
25.7°, rel. 21.0
31.0°, rel. 29.2
32.7°, rel. 100.0
34.1°, rel. 18.3
46.7°, rel. 19.5
56.3°, rel. 19.8
57.6°, rel. 11.7
60.1°, rel. 17.6
68.6°, rel. 9.5

Unit cell a=5.264 b=7.692 c=5.770 alpha=90.00 beta=90.00 gamma=90.00
Sites, in units of the cell vectors:
Tm 0.010 0.135 0.000
Tm 0.490 0.135 0.500
Tm 0.510 0.865 0.000
Tm 0.990 0.865 0.500
As 0.032 0.381 0.536
As 0.468 0.381 0.036
As 0.532 0.619 0.536
As 0.968 0.619 0.036
N 0.180 0.597 0.536
N 0.320 0.597 0.036
N 0.680 0.403 0.536
N 0.820 0.403 0.036
O 0.248 0.986 0.250
O 0.252 0.986 0.750
O 0.748 0.014 0.250
O 0.752 0.014 0.750